Starting from a cell relaxed with GGA-PBE, the powder XRD pattern of K3Np3TiS8 was calculated for Cu Ka.
Lines closer than 0.1° are merged.

Top 10 peaks for 15 to 90 degrees two-theta, low angle first:
- d = 3.762 Å, intensity 25, hkl 0 0 6
- d = 3.364 Å, intensity 39, hkl 0 2 1
- d = 3.257 Å, intensity 39, hkl 2 0 2
- d = 2.913 Å, intensity 100, hkl 0 2 4
- d = 2.717 Å, intensity 22, hkl 2 0 5
- d = 2.340 Å, intensity 34, hkl 0 2 7
- d = 2.172 Å, intensity 38, hkl 2 0 8
- d = 1.964 Å, intensity 32, hkl 2 2 0
- d = 1.900 Å, intensity 26, hkl 2 2 3
- d = 1.881 Å, intensity 21, hkl 0 0 12

Atomic structure:
Unit cell a=7.8555 b=7.8555 c=22.5713 alpha=90.00 beta=90.00 gamma=120.00
Space group R-3m (No. 166, hexagonal axes)
Inequivalent atoms, fractional coordinates:
K 0.0000 0.5000 0.0000 x9
Np 0.0000 0.5000 0.5000 x9
Ti 0.0000 0.0000 0.5000 x3
S 0.0000 0.0000 0.2346 x6
S 0.0210 0.5105 0.2294 x18